Starting from a crystal structure in Alexandria, relaxed with GGA-PBE, the X-ray diffraction stick pattern of Cr2RuSe was simulated for CuKα.
Kinematic intensities with the Lorentz-polarization factor, no thermal factor.

Main lines, sorted by position (2θ from 15° to 90°):
| d (Å) | Rel. int. | index |
| --- | --- | --- |
| 2.131 | 27 | 0 2 0 |
| 2.103 | 24 | 0 0 4 |
| 2.094 | 100 | 1 1 2 |
| 1.497 | 15 | 0 2 4 |
| 1.223 | 16 | 1 3 2 |
| 1.212 | 13 | 1 1 6 |

Cell and atoms:
```
data_Cr2RuSe
_symmetry_space_group_name_H-M 'I m m m'
_symmetry_Int_Tables_number 71
_symmetry_space_group_name_Hall '-I 2 2'
_cell_length_a 2.9292
_cell_length_b 4.2622
_cell_length_c 8.4105
_cell_angle_alpha 90.00
_cell_angle_beta 90.00
_cell_angle_gamma 90.00
loop_
_atom_site_label
_atom_site_type_symbol
_atom_site_fract_x
_atom_site_fract_y
_atom_site_fract_z
_atom_site_occupancy
Cr1 Cr 0.0000 0.0000 0.2292 1
Ru1 Ru 0.0000 0.5000 0.0000 1
Se1 Se 0.0000 0.5000 0.5000 1
```

---

Starting from a crystal structure in Alexandria, relaxed with GGA-PBE, the X-ray diffraction stick pattern of CrSnRu was simulated for CuKα.
Kinematic intensities with the Lorentz-polarization factor, no thermal factor.

Main lines, sorted by position (2θ from 15° to 90°):
| d (Å) | Rel. int. | index |
| --- | --- | --- |
| 3.429 | 33 | 0 0 2 |
| 2.491 | 75 | 1 1 0 |
| 2.286 | 70 | 0 0 3 |
| 2.231 | 67 | 1 1 1 |
| 2.198 | 53 | 2 0 0 |
| 2.187 | 100 | 1 1 -2 |

Cell and atoms:
```
data_CrSnRu
_symmetry_space_group_name_H-M 'P 1 21/m 1'
_symmetry_Int_Tables_number 11
_symmetry_space_group_name_Hall '-P 2yb'
_cell_length_a 4.5785
_cell_length_b 3.0238
_cell_length_c 7.1434
_cell_angle_alpha 90.00
_cell_angle_beta 106.23
_cell_angle_gamma 90.00
loop_
_atom_site_label
_atom_site_type_symbol
_atom_site_fract_x
_atom_site_fract_y
_atom_site_fract_z
_atom_site_occupancy
Cr1 Cr 0.1938 0.2500 0.0221 1
Sn1 Sn 0.2154 0.7500 0.6971 1
Ru1 Ru 0.2933 0.7500 0.3249 1
```

---

Starting from a crystal structure in Alexandria, relaxed with GGA-PBE, the X-ray diffraction stick pattern of CrTcRu was simulated for CuKα.
Kinematic intensities with the Lorentz-polarization factor, no thermal factor.

Main lines, sorted by position (2θ from 15° to 90°):
| d (Å) | Rel. int. | index |
| --- | --- | --- |
| 2.326 | 41 | 1 1 -1 |
| 2.277 | 31 | 2 0 -1 |
| 2.141 | 90 | 0 0 3 |
| 2.073 | 100 | 1 1 1 |
| 2.068 | 99 | 1 1 -2 |
| 1.324 | 26 | 3 1 -1 |

Cell and atoms:
```
data_CrTcRu
_symmetry_space_group_name_H-M 'P 1 m 1'
_symmetry_Int_Tables_number 6
_symmetry_space_group_name_Hall 'P -2y'
_cell_length_a 4.5549
_cell_length_b 2.7682
_cell_length_c 6.8029
_cell_angle_alpha 90.00
_cell_angle_beta 109.25
_cell_angle_gamma 90.00
loop_
_atom_site_label
_atom_site_type_symbol
_atom_site_fract_x
_atom_site_fract_y
_atom_site_fract_z
_atom_site_occupancy
Cr1 Cr 0.0000 0.0000 0.0000 1
Cr2 Cr 0.3101 0.0000 0.6271 1
Tc1 Tc 0.4969 0.0000 0.3157 1
Tc2 Tc 0.8192 0.5000 0.6666 1
Ru1 Ru 0.4682 0.5000 0.9587 1
Ru2 Ru 0.9918 0.5000 0.3093 1
```

---

Starting from a crystal structure in Alexandria, relaxed with GGA-PBE, the X-ray diffraction stick pattern of CrTcRu was simulated for CuKα.
Kinematic intensities with the Lorentz-polarization factor, no thermal factor.

Main lines, sorted by position (2θ from 15° to 90°):
| d (Å) | Rel. int. | index |
| --- | --- | --- |
| 2.341 | 29 | 1 1 1 |
| 2.295 | 20 | 2 0 2 |
| 2.158 | 52 | 4 0 -2 |
| 2.068 | 73 | 3 1 0 |
| 2.048 | 100 | 1 1 -2 |
| 2.008 | 27 | 0 0 3 |

Cell and atoms:
```
data_CrTcRu
_symmetry_space_group_name_H-M 'C 1 m 1'
_symmetry_Int_Tables_number 8
_symmetry_space_group_name_Hall 'C -2y'
_cell_length_a 9.8692
_cell_length_b 2.7222
_cell_length_c 6.2333
_cell_angle_alpha 90.00
_cell_angle_beta 104.85
_cell_angle_gamma 90.00
loop_
_atom_site_label
_atom_site_type_symbol
_atom_site_fract_x
_atom_site_fract_y
_atom_site_fract_z
_atom_site_occupancy
Cr1 Cr 0.0000 0.0000 0.0000 1
Cr2 Cr 0.2134 0.5000 0.9367 1
Tc1 Tc 0.1616 0.5000 0.3205 1
Tc2 Tc 0.3361 0.0000 0.6756 1
Ru1 Ru 0.0544 0.0000 0.6121 1
Ru2 Ru 0.3827 0.0000 0.2555 1
```

---

Starting from a crystal structure in Alexandria, relaxed with GGA-PBE, the X-ray diffraction stick pattern of CrTcRu was simulated for CuKα.
Kinematic intensities with the Lorentz-polarization factor, no thermal factor.

Main lines, sorted by position (2θ from 15° to 90°):
| d (Å) | Rel. int. | index |
| --- | --- | --- |
| 2.278 | 35 | 1 1 1 |
| 2.122 | 46 | 6 0 0 |
| 2.107 | 100 | 2 0 2 |
| 2.005 | 24 | 4 0 -2 |
| 1.998 | 45 | 3 1 1 |
| 1.142 | 27 | 6 2 0 |

Cell and atoms:
```
data_CrTcRu
_symmetry_space_group_name_H-M 'C 1 2/m 1'
_symmetry_Int_Tables_number 12
_symmetry_space_group_name_Hall '-C 2y'
_cell_length_a 12.8332
_cell_length_b 2.7083
_cell_length_c 4.7034
_cell_angle_alpha 90.00
_cell_angle_beta 97.20
_cell_angle_gamma 90.00
loop_
_atom_site_label
_atom_site_type_symbol
_atom_site_fract_x
_atom_site_fract_y
_atom_site_fract_z
_atom_site_occupancy
Cr1 Cr 0.0000 0.0000 0.0000 1
Cr2 Cr 0.0000 0.5000 0.5000 1
Tc1 Tc 0.1616 0.0000 0.3844 1
Ru1 Ru 0.1628 0.5000 0.8877 1
```

---

Starting from a crystal structure in Alexandria, relaxed with GGA-PBE, the X-ray diffraction stick pattern of V4Cr2Ru was simulated for CuKα.
Kinematic intensities with the Lorentz-polarization factor, no thermal factor.

Main lines, sorted by position (2θ from 15° to 90°):
| d (Å) | Rel. int. | index |
| --- | --- | --- |
| 2.838 | 17 | 0 2 1 |
| 2.246 | 56 | 0 6 1 |
| 2.116 | 100 | 1 7 0 |
| 2.098 | 92 | 1 1 1 |
| 1.950 | 36 | 0 8 1 |
| 1.210 | 28 | 1 7 2 |

Cell and atoms:
```
data_V4Cr2Ru
_symmetry_space_group_name_H-M 'C m m m'
_symmetry_Int_Tables_number 65
_symmetry_space_group_name_Hall '-C 2 2'
_cell_length_a 3.0162
_cell_length_b 20.7911
_cell_length_c 2.9497
_cell_angle_alpha 90.00
_cell_angle_beta 90.00
_cell_angle_gamma 90.00
loop_
_atom_site_label
_atom_site_type_symbol
_atom_site_fract_x
_atom_site_fract_y
_atom_site_fract_z
_atom_site_occupancy
V1 V 0.0000 0.0733 0.0000 1
V2 V 0.0000 0.3531 0.5000 1
Cr1 Cr 0.0000 0.2100 0.0000 1
Ru1 Ru 0.0000 0.5000 0.5000 1
```